Record 1
Structure and calculated powder XRD pattern of Li6WO6 (DFT lattice parameters and positions (GGA+U); CuKα).
Lines closer than 0.1° are merged.

Cell and atoms:
Unit cell a=5.6886 b=5.6886 c=5.6886 alpha=61.21 beta=61.21 gamma=61.21
Positions (direct):
Li: 0.0115 0.5850 0.2187
Li: 0.2187 0.0115 0.5850
Li: 0.4150 0.7813 0.9885
Li: 0.5850 0.2187 0.0115
Li: 0.7813 0.9885 0.4150
Li: 0.9885 0.4150 0.7813
W: 0.5000 0.5000 0.5000
O: 0.1504 0.7028 0.4007
O: 0.2972 0.5993 0.8496
O: 0.4007 0.1504 0.7028
O: 0.5993 0.8496 0.2972
O: 0.7028 0.4007 0.1504
O: 0.8496 0.2972 0.5993

Main lines, low angle first (2θ from 10° to 90°):
- 2θ 18.82, intensity 100.0
- 2θ 19.29, intensity 23.6
- 2θ 21.90, intensity 68.0
- 2θ 31.46, intensity 22.0
- 2θ 36.41, intensity 14.9
- 2θ 36.66, intensity 36.7
- 2θ 49.88, intensity 14.0
- 2θ 50.67, intensity 20.4

Record 2
Structure and calculated powder XRD pattern of K2V3O8 (DFT lattice parameters and positions (GGA+U); CuKα).
Lines closer than 0.1° are merged.

Cell and atoms:
Unit cell a=5.2762 b=6.8782 c=7.1299 alpha=111.66 beta=101.02 gamma=105.88
Positions (direct):
K: 0.0000 0.0000 0.0000
K: 0.3368 0.8748 0.4647
V: 0.1561 0.4881 0.8249
V: 0.6562 0.4250 0.9579
V: 0.6945 0.4186 0.3608
O: 0.0113 0.5310 0.5936
O: 0.0734 0.6414 0.0444
O: 0.2507 0.2622 0.8456
O: 0.3985 0.2885 0.3898
O: 0.5155 0.6407 0.8884
O: 0.6763 0.6293 0.2849
O: 0.7089 0.2393 0.1177
O: 0.7451 0.2653 0.7482

Main lines, low angle first (2θ from 10° to 90°):
- 2θ 14.14, intensity 25.4
- 2θ 14.97, intensity 100.0
- 2θ 18.91, intensity 25.0
- 2θ 24.08, intensity 46.4
- 2θ 24.90, intensity 41.5
- 2θ 25.56, intensity 25.6
- 2θ 26.86, intensity 26.8
- 2θ 28.51, intensity 33.1